Calculated X-ray powder pattern
Compound: KLiSb3O8
Radiation: Cu Kα (weighted mean of Kα1 and Kα2)
Structure: a PBE-relaxed structure
Peak positions follow from Bragg's law for the DFT cell and can differ from measured ones.

Peak list (10 most intense, 5° ≤ 2θ ≤ 70°, sorted by position)
(0 0 1), d 7.714, intensity 47.0; (0 1 0), d 7.450, intensity 49.4; (0 1 1), d 5.434, intensity 56.0; (0 1 -1), d 5.292, intensity 100.0; (0 1 2), d 3.464, intensity 62.5; (0 2 1), d 3.391, intensity 36.0; (0 2 -1), d 3.319, intensity 55.5; (2 1 -1), d 2.701, intensity 50.1; (2 2 1), d 2.686, intensity 76.9; (2 0 2), d 2.653, intensity 52.5

Structure:
a b c (Å): 6.444 7.658 7.864
angles (deg): 85.96 78.88 76.71
Space group P1 (No. 1)
Unique sites:
K 0.000 0.000 0.000
K 0.464 0.951 0.180
Li 0.172 0.801 0.594
Li 0.544 0.544 0.334
Sb 0.049 0.548 0.291
Sb 0.322 0.212 0.578
Sb 0.406 0.508 0.932
Sb 0.657 0.840 0.609
Sb 0.833 0.205 0.568
Sb 0.907 0.512 0.933
O 0.013 0.310 0.725
O 0.127 0.636 0.811
O 0.141 0.091 0.459
O 0.143 0.373 0.075
O 0.280 0.666 0.156
O 0.298 0.410 0.402
O 0.375 0.000 0.741
O 0.484 0.745 0.485
O 0.525 0.326 0.682
O 0.636 0.081 0.443
O 0.666 0.672 0.819
O 0.702 0.365 0.029
O 0.828 0.406 0.398
O 0.829 0.671 0.142
O 0.832 0.982 0.715
O 0.953 0.733 0.470